Calculated powder X-ray diffraction pattern of CuBiTeO for Cu Kα (weighted mean of Kα1 and Kα2), from a structure optimized by DFT (GGA-PBE).
Peak positions follow from Bragg's law for the DFT cell and can differ from measured ones.

a = 4.061 Å, b = 4.061 Å, c = 9.624 Å
α = 90.00°, β = 90.00°, γ = 90.00°
Space group P4/nmm (No. 129, origin choice 2)
Unique sites:
Cu  0.250  0.750  0.000 (multiplicity 2)
Bi  0.250  0.250  0.373 (multiplicity 2)
Te  0.250  0.250  0.820 (multiplicity 2)
O  0.250  0.750  0.500 (multiplicity 2)

The 10 most intense peaks (10 to 90 degrees two-theta), most intense first:
(hkl), 2θ/deg, d/Å, intensity
1 0 2, 28.77, 3.104, 100
2 1 2, 53.96, 1.699, 36
2 0 0, 44.63, 2.031, 29
1 1 0, 31.15, 2.872, 27
1 1 4, 49.42, 1.844, 24
1 0 3, 35.67, 2.517, 19
1 1 2, 36.44, 2.466, 17
1 1 1, 32.54, 2.752, 17
3 2 2, 89.35, 1.096, 16
3 0 2, 72.56, 1.303, 13